# 1
Starting from a DFT-relaxed cell (PBE, OQMD), the XRD peak list of HoTmAlCo2 was calculated for Cu Kα (weighted mean of Kα1 and Kα2).
Lines closer than 0.1° are merged.

Principal peaks in the range 2θ from 5° to 70°, low angle first:
19.64 deg, d = 4.521 Å, I = 15; 27.69 deg, d = 3.221 Å, I = 72; 33.08 deg, d = 2.708 Å, I = 16; 35.42 deg, d = 2.534 Å, I = 100; 36.79 deg, d = 2.443 Å, I = 28; 39.88 deg, d = 2.260 Å, I = 87; 41.73 deg, d = 2.164 Å, I = 34; 45.26 deg, d = 2.004 Å, I = 27; 55.86 deg, d = 1.646 Å, I = 17; 59.68 deg, d = 1.549 Å, I = 14; 60.61 deg, d = 1.528 Å, I = 12; 61.88 deg, d = 1.499 Å, I = 25

```
data_HoTmAlCo2
_chemical_formula_sum 'Ho1 Tm1 Al1 Co2'
_cell_length_a 5.3110
_cell_length_b 5.3110
_cell_length_c 5.3110
_cell_angle_alpha 135.67
_cell_angle_beta 118.70
_cell_angle_gamma 78.73
_space_group_name_H-M_alt 'P 1'
_space_group_IT_number 1
loop_
_space_group_symop_operation_xyz
'x,y,z'
loop_
_atom_site_label
_atom_site_fract_x
_atom_site_fract_y
_atom_site_fract_z
Ho1 0.0000 0.0000 0.0000
Tm1 0.5913 0.5913 0.0000
Al1 0.2958 0.7958 0.5000
Co1 0.0190 0.2953 0.7238
Co2 0.5715 0.2953 0.2762
```

# 2
Starting from a DFT-relaxed cell (PBE, OQMD), the XRD peak list of Dy5Lu2Pd2S2 was calculated for Cu Kα (weighted mean of Kα1 and Kα2).
Lines closer than 0.1° are merged.

Principal peaks in the range 2θ from 5° to 70°, low angle first:
29.39 deg, d = 3.039 Å, I = 28; 29.78 deg, d = 3.000 Å, I = 31; 30.93 deg, d = 2.891 Å, I = 82; 31.52 deg, d = 2.839 Å, I = 40; 34.39 deg, d = 2.608 Å, I = 40; 34.93 deg, d = 2.569 Å, I = 100; 35.42 deg, d = 2.534 Å, I = 48; 37.57 deg, d = 2.394 Å, I = 22; 39.54 deg, d = 2.279 Å, I = 24; 47.37 deg, d = 1.919 Å, I = 29; 53.00 deg, d = 1.728 Å, I = 19; 55.91 deg, d = 1.645 Å, I = 19

```
data_Dy5Lu2Pd2S2
_chemical_formula_sum 'Dy5 Lu2 Pd2 S2'
_cell_length_a 8.9697
_cell_length_b 8.9697
_cell_length_c 8.9697
_cell_angle_alpha 155.29
_cell_angle_beta 67.43
_cell_angle_gamma 118.39
_space_group_name_H-M_alt 'P 1'
_space_group_IT_number 1
loop_
_space_group_symop_operation_xyz
'x,y,z'
loop_
_atom_site_label
_atom_site_fract_x
_atom_site_fract_y
_atom_site_fract_z
Dy1 0.0000 0.0000 0.0000
Dy2 0.1259 0.7582 0.3678
Dy3 0.3904 0.7582 0.6322
Dy4 0.4810 0.5972 0.8839
Dy5 0.7133 0.5972 0.1161
Lu1 0.0667 0.3858 0.6809
Lu2 0.7049 0.3858 0.3191
Pd1 0.3226 0.0834 0.2392
Pd2 0.8443 0.0834 0.7608
S1 0.3425 0.3425 0.0000
S2 0.7547 0.2547 0.5000
```

# 3
Starting from a DFT-relaxed cell (PBE, OQMD), the XRD peak list of HfMo2Au was calculated for Cu Kα (weighted mean of Kα1 and Kα2).
Lines closer than 0.1° are merged.

Principal peaks in the range 2θ from 5° to 70°, low angle first:
23.60 deg, d = 3.770 Å, I = 11; 39.01 deg, d = 2.309 Å, I = 100; 46.10 deg, d = 1.969 Å, I = 7; 56.36 deg, d = 1.632 Å, I = 17; 61.94 deg, d = 1.498 Å, I = 3

```
data_HfMo2Au
_chemical_formula_sum 'Hf1 Mo2 Au1'
_cell_length_a 4.6173
_cell_length_b 4.6173
_cell_length_c 4.6173
_cell_angle_alpha 60.00
_cell_angle_beta 60.00
_cell_angle_gamma 60.00
_space_group_name_H-M_alt 'P 1'
_space_group_IT_number 1
loop_
_space_group_symop_operation_xyz
'x,y,z'
loop_
_atom_site_label
_atom_site_fract_x
_atom_site_fract_y
_atom_site_fract_z
Hf1 0.0000 0.0000 0.0000
Mo1 0.2500 0.2500 0.2500
Mo2 0.5000 0.5000 0.5000
Au1 0.7500 0.7500 0.7500
```

# 4
Starting from a DFT-relaxed cell (PBE, OQMD), the XRD peak list of TcBIr2 was calculated for Cu Kα (weighted mean of Kα1 and Kα2).
Lines closer than 0.1° are merged.

Principal peaks in the range 2θ from 5° to 70°, low angle first:
25.95 deg, d = 3.434 Å, I = 43; 30.05 deg, d = 2.974 Å, I = 5; 43.02 deg, d = 2.103 Å, I = 100; 50.92 deg, d = 1.793 Å, I = 22; 53.36 deg, d = 1.717 Å, I = 1; 62.46 deg, d = 1.487 Å, I = 17; 68.81 deg, d = 1.364 Å, I = 9

```
data_TcBIr2
_chemical_formula_sum 'Tc1 B1 Ir2'
_cell_length_a 4.2055
_cell_length_b 4.2055
_cell_length_c 4.2055
_cell_angle_alpha 60.00
_cell_angle_beta 60.00
_cell_angle_gamma 60.00
_space_group_name_H-M_alt 'P 1'
_space_group_IT_number 1
loop_
_space_group_symop_operation_xyz
'x,y,z'
loop_
_atom_site_label
_atom_site_fract_x
_atom_site_fract_y
_atom_site_fract_z
Tc1 0.0000 0.0000 0.0000
B1 0.7500 0.7500 0.7500
Ir1 0.2500 0.2500 0.2500
Ir2 0.5000 0.5000 0.5000
```